(1)
This entry pairs a crystal structure of PaCuPt6 with its calculated X-ray powder pattern. Radiation: Cu Kα X-rays. Structure: a PBE-relaxed structure.
No peak broadening, texture or thermal motion is included.

Atomic structure:
```
data_PaCuPt6
_chemical_formula_sum 'Pa1 Cu1 Pt6'
_cell_length_a 5.7562
_cell_length_b 5.7562
_cell_length_c 4.6650
_cell_angle_alpha 90.00
_cell_angle_beta 90.00
_cell_angle_gamma 120.00
_symmetry_space_group_name_H-M 'P -6 m 2'
_symmetry_Int_Tables_number 187
_symmetry_space_group_name_Hall 'P -6 2'
loop_
_atom_site_label
_atom_site_fract_x
_atom_site_fract_y
_atom_site_fract_z
Pa1 0.0000 0.0000 0.0000
Cu1 0.3333 0.6667 0.5000
Pt1 0.0049 0.5024 0.0000
Pt2 0.3398 0.1699 0.5000
```

Main lines, low angle first (15 to 90 degrees two-theta):
| 2theta | I/Imax |
| --- | --- |
| 17.79 | 43 |
| 26.16 | 33 |
| 36.03 | 245 |
| 38.60 | 263 |
| 41.06 | 1000 |
| 53.83 | 158 |
| 64.79 | 175 |
| 71.51 | 198 |
| 78.02 | 207 |
| 79.63 | 148 |
| 82.76 | 30 |
| 89.07 | 40 |

(2)
This entry pairs a crystal structure of Pa2CuPt2 with its calculated X-ray powder pattern. Radiation: Cu Kα X-rays. Structure: a PBE-relaxed structure.
No peak broadening, texture or thermal motion is included.

Atomic structure:
```
data_Pa2CuPt2
_chemical_formula_sum 'Pa4 Cu2 Pt4'
_cell_length_a 6.5749
_cell_length_b 8.7912
_cell_length_c 3.5794
_cell_angle_alpha 90.00
_cell_angle_beta 90.00
_cell_angle_gamma 90.00
_symmetry_space_group_name_H-M 'P b a m'
_symmetry_Int_Tables_number 55
loop_
_symmetry_equiv_pos_as_xyz
'x,y,z'
'-x,-y,-z'
'-x,-y,z'
'x,y,-z'
'x+1/2,-y+1/2,-z'
'-x+1/2,y+1/2,z'
'-x+1/2,y+1/2,-z'
'x+1/2,-y+1/2,z'
loop_
_atom_site_label
_atom_site_fract_x
_atom_site_fract_y
_atom_site_fract_z
Pa1 0.1026 0.1625 0.0000
Cu1 0.0000 0.5000 0.0000
Pt1 0.2426 0.8961 0.5000
```

Main lines, low angle first (15 to 90 degrees two-theta):
| 2theta | I/Imax |
| --- | --- |
| 16.84 | 138 |
| 29.00 | 265 |
| 33.48 | 289 |
| 35.09 | 1000 |
| 37.13 | 382 |
| 38.57 | 319 |
| 42.16 | 290 |
| 43.41 | 128 |
| 46.29 | 345 |
| 51.03 | 192 |
| 65.59 | 204 |
| 71.34 | 195 |

(3)
This entry pairs a crystal structure of Pa2CuPt3 with its calculated X-ray powder pattern. Radiation: Cu Kα X-rays. Structure: a PBE-relaxed structure.
No peak broadening, texture or thermal motion is included.

Atomic structure:
```
data_Pa2CuPt3
_chemical_formula_sum 'Pa16 Cu8 Pt24'
_cell_length_a 6.4339
_cell_length_b 9.0514
_cell_length_c 15.8333
_cell_angle_alpha 90.00
_cell_angle_beta 90.00
_cell_angle_gamma 90.00
_symmetry_space_group_name_H-M 'F m m m'
_symmetry_Int_Tables_number 69
_symmetry_space_group_name_Hall '-F 2 2'
loop_
_atom_site_label
_atom_site_fract_x
_atom_site_fract_y
_atom_site_fract_z
Pa1 0.2368 0.0000 0.0000
Pa2 0.2500 0.2500 0.2500
Cu1 0.0000 0.0000 0.3309
Pt1 0.0000 0.0000 0.1715
Pt2 0.0000 0.2357 0.4140
```

Main lines, low angle first (15 to 90 degrees two-theta):
| 2theta | I/Imax |
| --- | --- |
| 35.97 | 504 |
| 36.09 | 1000 |
| 39.53 | 778 |
| 39.84 | 372 |
| 54.43 | 157 |
| 54.75 | 297 |
| 57.28 | 134 |
| 69.33 | 149 |
| 69.54 | 148 |
| 69.89 | 150 |
| 71.83 | 268 |
| 72.08 | 254 |

(4)
This entry pairs a crystal structure of RbPaCuS4 with its calculated X-ray powder pattern. Radiation: Cu Kα X-rays. Structure: a PBE-relaxed structure.
No peak broadening, texture or thermal motion is included.

Atomic structure:
```
data_RbPaCuS4
_chemical_formula_sum 'Rb2 Pa2 Cu2 S8'
_cell_length_a 6.7260
_cell_length_b 5.5930
_cell_length_c 9.3310
_cell_angle_alpha 90.00
_cell_angle_beta 106.54
_cell_angle_gamma 90.00
_symmetry_space_group_name_H-M 'P 1 21/m 1'
_symmetry_Int_Tables_number 11
loop_
_symmetry_equiv_pos_as_xyz
'x,y,z'
'-x,-y,-z'
'-x,y+1/2,-z'
'x,-y+1/2,z'
loop_
_atom_site_label
_atom_site_fract_x
_atom_site_fract_y
_atom_site_fract_z
Rb1 0.2476 0.2500 0.0482
Pa1 0.2677 0.2500 0.5571
Cu1 0.2484 0.7500 0.3318
S1 0.0142 0.5160 0.6916
S2 0.4265 0.7500 0.5790
S3 0.4617 0.7500 0.1840
```

Main lines, low angle first (15 to 90 degrees two-theta):
| 2theta | I/Imax |
| --- | --- |
| 18.71 | 428 |
| 21.03 | 1000 |
| 25.50 | 532 |
| 26.17 | 750 |
| 29.17 | 500 |
| 31.73 | 722 |
| 32.01 | 618 |
| 33.37 | 550 |
| 42.16 | 379 |
| 42.81 | 525 |
| 44.31 | 373 |
| 51.03 | 403 |

(5)
This entry pairs a crystal structure of Rb4Pa3CuTe8 with its calculated X-ray powder pattern. Radiation: Cu Kα X-rays. Structure: a PBE-relaxed structure.
No peak broadening, texture or thermal motion is included.

Atomic structure:
```
data_Rb4Pa3CuTe8
_chemical_formula_sum 'Rb8 Pa6 Cu2 Te16'
_cell_length_a 15.5126
_cell_length_b 8.9241
_cell_length_c 10.0475
_cell_angle_alpha 90.00
_cell_angle_beta 121.01
_cell_angle_gamma 90.00
_symmetry_space_group_name_H-M 'C 1 2/m 1'
_symmetry_Int_Tables_number 12
loop_
_symmetry_equiv_pos_as_xyz
'x,y,z'
'-x,-y,-z'
'-x,y,-z'
'x,-y,z'
'x+1/2,y+1/2,z'
'-x+1/2,-y+1/2,-z'
'-x+1/2,y+1/2,-z'
'x+1/2,-y+1/2,z'
loop_
_atom_site_label
_atom_site_fract_x
_atom_site_fract_y
_atom_site_fract_z
Rb1 0.0000 0.0000 0.0000
Rb2 0.0000 0.5000 0.0000
Rb3 0.2500 0.2500 0.0000
Pa1 0.0000 0.0000 0.5000
Pa2 0.2500 0.2500 0.5000
Cu1 0.0000 0.5000 0.5000
Te1 0.0167 0.2575 0.3069
Te2 0.2283 0.5000 0.6949
Te3 0.2352 0.0000 0.7062
```

Main lines, low angle first (15 to 90 degrees two-theta):
| 2theta | I/Imax |
| --- | --- |
| 26.82 | 521 |
| 26.86 | 1000 |
| 33.55 | 263 |
| 36.23 | 513 |
| 40.32 | 372 |
| 40.43 | 184 |
| 42.00 | 118 |
| 45.16 | 165 |
| 49.04 | 99 |
| 49.19 | 192 |
| 55.34 | 152 |
| 59.60 | 102 |

(6)
This entry pairs a crystal structure of Rb2PaCu2Te4 with its calculated X-ray powder pattern. Radiation: Cu Kα X-rays. Structure: a PBE-relaxed structure.
No peak broadening, texture or thermal motion is included.

Atomic structure:
```
data_Rb2PaCu2Te4
_chemical_formula_sum 'Rb4 Pa2 Cu4 Te8'
_cell_length_a 16.0457
_cell_length_b 4.3787
_cell_length_c 8.7334
_cell_angle_alpha 90.00
_cell_angle_beta 108.56
_cell_angle_gamma 90.00
_symmetry_space_group_name_H-M 'C 1 2/m 1'
_symmetry_Int_Tables_number 12
loop_
_symmetry_equiv_pos_as_xyz
'x,y,z'
'-x,-y,-z'
'-x,y,-z'
'x,-y,z'
'x+1/2,y+1/2,z'
'-x+1/2,-y+1/2,-z'
'-x+1/2,y+1/2,-z'
'x+1/2,-y+1/2,z'
loop_
_atom_site_label
_atom_site_fract_x
_atom_site_fract_y
_atom_site_fract_z
Rb1 0.1366 0.0000 0.0633
Pa1 0.0000 0.0000 0.5000
Cu1 0.1734 0.5000 0.4862
Te1 0.0187 0.5000 0.2619
Te2 0.2000 0.0000 0.6675
```

Main lines, low angle first (15 to 90 degrees two-theta):
| 2theta | I/Imax |
| --- | --- |
| 22.85 | 217 |
| 26.85 | 284 |
| 28.78 | 385 |
| 28.89 | 1000 |
| 30.86 | 419 |
| 31.08 | 297 |
| 34.69 | 256 |
| 35.41 | 241 |
| 38.14 | 409 |
| 41.23 | 345 |
| 45.48 | 313 |
| 47.03 | 321 |

(7)
This entry pairs a crystal structure of PaCuRh with its calculated X-ray powder pattern. Radiation: Cu Kα X-rays. Structure: a PBE-relaxed structure.
No peak broadening, texture or thermal motion is included.

Atomic structure:
```
data_PaCuRh
_chemical_formula_sum 'Pa4 Cu4 Rh4'
_cell_length_a 5.3198
_cell_length_b 5.2995
_cell_length_c 7.8460
_cell_angle_alpha 90.00
_cell_angle_beta 90.06
_cell_angle_gamma 90.00
_symmetry_space_group_name_H-M 'P 1 21/m 1'
_symmetry_Int_Tables_number 11
loop_
_symmetry_equiv_pos_as_xyz
'x,y,z'
'-x,-y,-z'
'-x,y+1/2,-z'
'x,-y+1/2,z'
loop_
_atom_site_label
_atom_site_fract_x
_atom_site_fract_y
_atom_site_fract_z
Pa1 0.1891 0.2500 0.0896
Pa2 0.1890 0.7500 0.4100
Cu1 0.3367 0.0000 0.7499
Rh1 0.3025 0.2500 0.4514
Rh2 0.3025 0.7500 0.0482
```

Main lines, low angle first (15 to 90 degrees two-theta):
| 2theta | I/Imax |
| --- | --- |
| 20.17 | 281 |
| 26.32 | 280 |
| 28.30 | 411 |
| 33.02 | 229 |
| 33.70 | 459 |
| 33.83 | 401 |
| 38.35 | 1000 |
| 39.64 | 882 |
| 39.71 | 307 |
| 41.11 | 437 |
| 59.84 | 261 |
| 72.20 | 220 |

(8)
This entry pairs a crystal structure of Pa2Cu4S5 with its calculated X-ray powder pattern. Radiation: Cu Kα X-rays. Structure: a PBE-relaxed structure.
No peak broadening, texture or thermal motion is included.

Atomic structure:
```
data_Pa2Cu4S5
_chemical_formula_sum 'Pa6 Cu12 S15'
_cell_length_a 3.8418
_cell_length_b 3.8418
_cell_length_c 47.6142
_cell_angle_alpha 90.00
_cell_angle_beta 90.00
_cell_angle_gamma 120.00
_symmetry_space_group_name_H-M 'R -3 m'
_symmetry_Int_Tables_number 166
_symmetry_space_group_name_Hall '-R 3 2"'
loop_
_atom_site_label
_atom_site_fract_x
_atom_site_fract_y
_atom_site_fract_z
Pa1 0.0000 0.0000 0.1349
Cu1 0.0000 0.0000 0.3102
Cu2 0.0000 0.0000 0.4138
S1 0.0000 0.0000 0.2345
S2 0.0000 0.0000 0.3664
S3 0.0000 0.0000 0.5000
```

Main lines, low angle first (15 to 90 degrees two-theta):
| 2theta | I/Imax |
| --- | --- |
| 27.84 | 560 |
| 29.90 | 438 |
| 30.79 | 233 |
| 33.96 | 1000 |
| 37.83 | 151 |
| 40.68 | 115 |
| 47.32 | 458 |
| 50.29 | 267 |
| 59.49 | 412 |
| 63.15 | 89 |
| 71.53 | 92 |
| 79.34 | 132 |